Starting from a cell relaxed with GGA-PBE, the powder X-ray diffraction pattern of In4Hg15Pb was calculated for a wavelength of 1.5418 Å.
Neutral-atom scattering factors, no anomalous dispersion.

Structural model:
```
In4Hg15Pb
1.0
5.2518 0.0000 0.0000
0.0000 5.2988 0.0000
0.0000 0.0000 19.1740
In Hg Pb
4 15 1
Cartesian
0.0000 0.0000 1.9071
0.0000 0.0000 5.6869
0.0000 0.0000 13.4871
0.0000 0.0000 17.2669
0.0000 2.6494 0.0000
0.0000 2.6494 3.8091
0.0000 2.6494 7.6021
0.0000 2.6494 11.5719
0.0000 2.6494 15.3649
2.6259 0.0000 0.0000
2.6259 0.0000 3.7858
2.6259 0.0000 7.5884
2.6259 0.0000 11.5856
2.6259 0.0000 15.3882
2.6259 2.6494 1.9124
2.6259 2.6494 5.7235
2.6259 2.6494 9.5870
2.6259 2.6494 13.4505
2.6259 2.6494 17.2616
0.0000 0.0000 9.5870
```

The 10 most intense peaks (5 to 70 degrees two-theta), low angle first:
28.78 deg, rel. 1
33.51 deg, rel. 100
33.83 deg, rel. 25
34.15 deg, rel. 24
47.41 deg, rel. 9
48.83 deg, rel. 18
59.51 deg, rel. 10
59.71 deg, rel. 10
60.33 deg, rel. 19
60.73 deg, rel. 18



Starting from a cell relaxed with GGA-PBE, the powder X-ray diffraction pattern of In2Hg4Pb3 was calculated for a wavelength of 1.5418 Å.
Neutral-atom scattering factors, no anomalous dispersion.

Structural model:
```
In2Hg4Pb3
1.0
7.7001 -5.9711 0.0000
7.7001 5.9711 0.0000
-2.2268 0.0000 5.6257
In Hg Pb
4 8 6
Cartesian
2.6777 0.6880 0.4218
1.5644 -0.6880 3.2346
11.6091 0.6880 2.3911
10.4958 -0.6880 5.2039
1.6828 2.3898 3.7974
4.3324 2.5691 5.6057
7.7277 2.5691 2.8328
2.7962 -2.3898 0.9845
10.3773 2.3898 4.6411
5.4458 -2.5691 2.7929
8.8411 -2.5691 0.0199
11.4907 -2.3898 1.8283
6.0301 4.9402 4.2192
4.9504 0.7516 2.7661
3.8370 -0.7516 5.5789
9.3365 0.7516 0.0467
8.2231 -0.7516 2.8596
7.1434 -4.9402 1.4064
```

The 10 most intense peaks (5 to 70 degrees two-theta), low angle first:
27.85 deg, rel. 37
29.62 deg, rel. 55
29.79 deg, rel. 71
32.14 deg, rel. 86
32.45 deg, rel. 79
33.99 deg, rel. 36
34.14 deg, rel. 100
35.52 deg, rel. 44
36.61 deg, rel. 48
55.48 deg, rel. 39



Starting from a cell relaxed with GGA-PBE, the powder X-ray diffraction pattern of In5Hg3Pb3 was calculated for a wavelength of 1.5418 Å.
Neutral-atom scattering factors, no anomalous dispersion.

Structural model:
```
In5Hg3Pb3
1.0
10.9418 0.0000 0.0000
-5.4709 9.4758 0.0000
0.0000 0.0000 3.2325
In Hg Pb
5 3 3
Cartesian
-1.6850 2.9185 0.0000
3.3699 0.0000 0.0000
0.0000 6.3172 0.0000
5.4709 3.1586 0.0000
3.7859 6.5574 0.0000
-4.5258 7.8388 0.0000
0.9451 1.6370 0.0000
9.0515 0.0000 0.0000
-3.0760 5.3278 1.6163
2.3949 4.1480 1.6163
6.1520 0.0000 1.6163
```

The 10 most intense peaks (5 to 70 degrees two-theta), low angle first:
24.86 deg, rel. 52
29.19 deg, rel. 34
32.16 deg, rel. 35
32.74 deg, rel. 28
33.56 deg, rel. 51
34.12 deg, rel. 100
37.48 deg, rel. 54
43.33 deg, rel. 54
50.60 deg, rel. 38
68.11 deg, rel. 28



Starting from a cell relaxed with GGA-PBE, the powder X-ray diffraction pattern of In4HgPb12 was calculated for a wavelength of 1.5418 Å.
Neutral-atom scattering factors, no anomalous dispersion.

Structural model:
```
In4HgPb12
1.0
7.4733 4.3147 3.0472
-7.4733 4.3147 3.0472
0.0000 -8.6295 3.0472
In Hg Pb
4 1 12
Cartesian
0.0000 0.0000 0.0000
-3.7367 -2.1574 3.0472
-3.7367 2.1574 6.0943
0.0000 4.3147 3.0472
0.0000 0.0000 4.5707
-4.8514 -4.5325 4.5774
-1.1229 -3.6761 3.3453
-6.3509 1.9352 4.5640
-2.6222 2.8105 3.3453
1.4996 -6.4677 4.5640
-3.7450 -0.8656 5.7962
3.7450 0.8656 3.3453
-1.4996 6.4677 4.5774
2.6222 -2.8105 5.7962
6.3509 -1.9352 4.5774
1.1229 3.6761 5.7962
4.8514 4.5325 4.5640
```

The 10 most intense peaks (5 to 70 degrees two-theta), low angle first:
26.68 deg, rel. 100
31.69 deg, rel. 37
38.09 deg, rel. 19
41.89 deg, rel. 20
43.69 deg, rel. 44
50.36 deg, rel. 8
51.93 deg, rel. 11
59.33 deg, rel. 16
60.74 deg, rel. 9
67.52 deg, rel. 13



Starting from a cell relaxed with GGA-PBE, the powder X-ray diffraction pattern of InHg4Pb4 was calculated for a wavelength of 1.5418 Å.
Neutral-atom scattering factors, no anomalous dispersion.

Structural model:
```
InHg4Pb4
1.0
-5.4194 5.4194 2.1617
5.4194 -5.4194 2.1617
5.4194 5.4194 -2.1617
In Hg Pb
1 4 4
Cartesian
0.0000 0.0000 0.0000
-1.7444 5.4179 2.1617
7.1638 0.0015 0.0000
0.0015 3.6750 0.0000
5.4179 1.7444 2.1617
7.1956 3.6332 0.0000
3.6332 3.6432 0.0000
1.7862 1.7762 2.1617
-1.7762 1.7862 2.1617
```

The 10 most intense peaks (5 to 70 degrees two-theta), low angle first:
11.55 deg, rel. 1
22.14 deg, rel. 1
32.29 deg, rel. 100
35.13 deg, rel. 40
41.79 deg, rel. 13
46.88 deg, rel. 1
50.52 deg, rel. 14
55.70 deg, rel. 22
61.24 deg, rel. 32
67.58 deg, rel. 12



Starting from a cell relaxed with GGA-PBE, the powder X-ray diffraction pattern of In4HgPb5 was calculated for a wavelength of 1.5418 Å.
Neutral-atom scattering factors, no anomalous dispersion.

Structural model:
```
In4HgPb5
1.0
3.9700 0.0000 0.0000
0.0000 3.9700 0.0000
0.0000 0.0000 18.5387
In Hg Pb
4 1 5
Cartesian
0.0000 0.0000 1.9018
0.0000 0.0000 5.5922
0.0000 0.0000 12.9465
0.0000 0.0000 16.6369
0.0000 0.0000 9.2693
1.9850 1.9850 0.0000
1.9850 1.9850 3.7499
1.9850 1.9850 7.4459
1.9850 1.9850 11.0928
1.9850 1.9850 14.7888
```

The 10 most intense peaks (5 to 70 degrees two-theta), low angle first:
22.39 deg, rel. 5
31.88 deg, rel. 55
33.06 deg, rel. 100
40.30 deg, rel. 3
45.71 deg, rel. 21
49.14 deg, rel. 8
57.56 deg, rel. 41
59.78 deg, rel. 18
66.63 deg, rel. 7
69.36 deg, rel. 12



Starting from a cell relaxed with GGA-PBE, the powder X-ray diffraction pattern of In4Hg3Pb5 was calculated for a wavelength of 1.5418 Å.
Neutral-atom scattering factors, no anomalous dispersion.

Structural model:
```
In4Hg3Pb5
1.0
5.9593 0.0000 0.0000
2.6772 7.7236 0.0000
1.6871 2.9351 7.6068
In Hg Pb
4 3 5
Cartesian
1.1494 2.8673 1.2242
3.9731 7.7604 3.2382
6.3505 2.8983 4.3686
9.1742 7.7915 6.3826
6.2885 8.8615 5.2721
2.9796 0.0000 0.0000
4.0351 1.7972 2.3347
0.0000 0.0000 0.0000
3.4095 4.6437 4.8386
3.9666 4.8526 1.4107
6.3570 5.8062 6.1961
6.9141 6.0150 2.7682
```

The 10 most intense peaks (5 to 70 degrees two-theta), low angle first:
29.44 deg, rel. 46
30.30 deg, rel. 85
30.38 deg, rel. 66
31.06 deg, rel. 66
32.16 deg, rel. 46
32.39 deg, rel. 67
32.98 deg, rel. 93
34.36 deg, rel. 100
35.01 deg, rel. 53
35.61 deg, rel. 52



Starting from a cell relaxed with GGA-PBE, the powder X-ray diffraction pattern of In17Hg11Pb was calculated for a wavelength of 1.5418 Å.
Neutral-atom scattering factors, no anomalous dispersion.

Structural model:
```
In17Hg11Pb
1.0
7.7324 -7.9799 0.0000
7.7324 7.9799 0.0000
-2.4000 0.0000 6.4303
In Hg Pb
17 11 1
Cartesian
0.0000 0.0000 0.0000
2.4684 1.9411 0.4369
2.8558 3.2424 6.3628
7.1868 5.1498 1.5728
4.7425 2.4199 3.8513
2.4684 -1.9411 0.4369
3.6096 0.0000 5.7882
9.1873 2.9210 0.1350
8.6415 3.4230 3.9249
2.8558 -3.2424 6.3628
4.7425 -2.4199 3.8513
9.4135 0.0000 3.1674
9.1873 -2.9210 0.1350
11.6553 0.0000 1.1553
7.1868 -5.1498 1.5728
8.6415 -3.4230 3.9249
14.1284 0.0000 3.1343
1.4945 1.5167 3.7584
5.7868 5.2696 4.5137
1.4945 -1.5167 3.7584
4.1481 0.0000 2.0235
7.0527 1.6262 1.9743
11.3874 3.0720 2.2058
7.0527 -1.6262 1.9743
10.6450 1.7167 5.4306
5.7868 -5.2696 4.5137
10.6450 -1.7167 5.4306
11.3874 -3.0720 2.2058
6.9124 0.0000 5.2755
```

The 10 most intense peaks (5 to 70 degrees two-theta), low angle first:
30.02 deg, rel. 87
31.10 deg, rel. 53
31.38 deg, rel. 32
32.10 deg, rel. 30
32.30 deg, rel. 74
32.86 deg, rel. 40
33.66 deg, rel. 100
34.96 deg, rel. 45
37.02 deg, rel. 38
38.69 deg, rel. 36



Starting from a cell relaxed with GGA-PBE, the powder X-ray diffraction pattern of InHg6Pb8 was calculated for a wavelength of 1.5418 Å.
Neutral-atom scattering factors, no anomalous dispersion.

Structural model:
```
InHg6Pb8
1.0
6.0057 0.0000 0.0000
-3.0029 5.2011 0.0000
0.0000 0.0000 14.2784
In Hg Pb
1 6 8
Cartesian
0.0000 0.0000 0.0000
-1.0023 1.7360 11.4954
-2.0006 3.4651 2.7830
2.0046 0.0000 11.4954
1.0023 1.7360 2.7830
4.0012 0.0000 2.7830
2.0006 3.4651 11.4954
-0.9967 1.7263 5.6363
-2.0062 3.4748 8.6422
1.9934 0.0000 5.6363
0.9967 1.7263 8.6422
0.0000 3.4674 0.0000
3.0029 1.7337 0.0000
4.0123 0.0000 8.6422
2.0062 3.4748 5.6363
```

The 10 most intense peaks (5 to 70 degrees two-theta), low angle first:
30.42 deg, rel. 25
31.32 deg, rel. 43
32.34 deg, rel. 100
35.34 deg, rel. 64
39.20 deg, rel. 20
52.80 deg, rel. 31
54.37 deg, rel. 28
62.69 deg, rel. 37
63.29 deg, rel. 15
65.15 deg, rel. 11



Starting from a cell relaxed with GGA-PBE, the powder X-ray diffraction pattern of In4HgPb4 was calculated for a wavelength of 1.5418 Å.
Neutral-atom scattering factors, no anomalous dispersion.

Structural model:
```
In4HgPb4
1.0
-5.1803 5.1803 2.4367
5.1803 -5.1803 2.4367
5.1803 5.1803 -2.4367
In Hg Pb
4 1 4
Cartesian
3.4817 0.0000 0.0000
6.8788 0.0000 0.0000
0.0000 3.4817 0.0000
0.0000 6.8788 0.0000
0.0000 0.0000 0.0000
3.4495 3.4495 0.0000
1.7308 -1.7308 2.4367
-1.7308 1.7308 2.4367
1.7308 1.7308 2.4367
```

The 10 most intense peaks (5 to 70 degrees two-theta), low angle first:
12.08 deg, rel. 5
24.30 deg, rel. 1
26.54 deg, rel. 4
31.76 deg, rel. 100
36.83 deg, rel. 51
38.91 deg, rel. 1
53.07 deg, rel. 36
63.15 deg, rel. 28
63.26 deg, rel. 14
66.35 deg, rel. 12



Starting from a cell relaxed with GGA-PBE, the powder X-ray diffraction pattern of In6HgPb10 was calculated for a wavelength of 1.5418 Å.
Neutral-atom scattering factors, no anomalous dispersion.

Structural model:
```
In6HgPb10
1.0
9.2292 0.0000 0.0000
-4.6146 7.9927 0.0000
0.0000 0.0000 7.0422
In Hg Pb
6 1 10
Cartesian
-1.8424 3.1912 1.9588
-2.7722 4.8015 5.0834
3.6849 0.0000 1.9588
1.8424 3.1912 5.0834
5.5443 0.0000 5.0834
2.7722 4.8015 1.9588
0.0000 0.0000 3.5211
-1.1340 1.9641 5.7607
-3.4806 6.0286 1.2815
2.2679 0.0000 5.7607
1.1340 1.9641 1.2815
0.0000 5.3285 0.0000
0.0000 5.3285 3.5211
4.6146 2.6642 0.0000
4.6146 2.6642 3.5211
6.9613 0.0000 1.2815
3.4806 6.0286 5.7607
```

The 10 most intense peaks (5 to 70 degrees two-theta), low angle first:
29.57 deg, rel. 19
31.97 deg, rel. 100
32.24 deg, rel. 82
33.64 deg, rel. 44
39.30 deg, rel. 11
47.09 deg, rel. 21
51.50 deg, rel. 13
52.46 deg, rel. 15
55.90 deg, rel. 14
60.89 deg, rel. 16



Starting from a cell relaxed with GGA-PBE, the powder X-ray diffraction pattern of In3Hg5Pb2 was calculated for a wavelength of 1.5418 Å.
Neutral-atom scattering factors, no anomalous dispersion.

Structural model:
```
In3Hg5Pb2
1.0
8.2889 -1.6326 0.0000
8.2889 1.6326 0.0000
-4.8890 0.0000 10.2519
In Hg Pb
3 5 2
Cartesian
0.0000 0.0000 0.0000
0.4894 0.0000 6.2248
11.1994 0.0000 4.0270
-2.4445 0.0000 5.1259
0.1726 0.0000 3.1063
0.6365 0.0000 9.2979
11.0522 0.0000 0.9539
11.5161 0.0000 7.1455
5.5723 0.0000 2.2061
6.1164 0.0000 8.0458
```

The 10 most intense peaks (5 to 70 degrees two-theta), low angle first:
31.66 deg, rel. 84
31.85 deg, rel. 100
32.47 deg, rel. 79
35.27 deg, rel. 62
40.41 deg, rel. 51
50.22 deg, rel. 26
55.22 deg, rel. 20
56.36 deg, rel. 20
66.10 deg, rel. 29
66.56 deg, rel. 20